# 1
Diffraction record for LiLuO3. The X-ray diffraction stick pattern is calculated, not measured: it uses a GGA-PBE-relaxed structure and Cu Kα X-rays.
No peak broadening, texture or thermal motion is included.

Crystal structure
```
5
Lattice="3.630 0.000 0.000 0.000 3.630 0.000 0.000 0.000 3.630" Properties=species:S:1:pos:R:3 pbc="T T T"
Li 0.000 0.000 0.000
Lu 1.815 1.815 1.815
O 0.000 0.000 1.815
O 0.000 1.815 0.000
O 1.815 0.000 0.000
```

Main lines, in order of falling intensity (2θ from 10° to 90°):
d = 3.630 Å, 2θ = 24.5°, rel. 100; d = 2.567 Å, 2θ = 35.0°, rel. 94; d = 2.096 Å, 2θ = 43.2°, rel. 62; d = 1.623 Å, 2θ = 56.7°, rel. 43; d = 1.482 Å, 2θ = 62.7°, rel. 37; d = 1.815 Å, 2θ = 50.3°, rel. 32



# 2
Diffraction record for LiLuO2. The X-ray diffraction stick pattern is calculated, not measured: it uses a GGA-PBE-relaxed structure and Cu Kα X-rays.
No peak broadening, texture or thermal motion is included.

Crystal structure
```
16
Lattice="5.993 0.000 0.000 0.000 6.126 0.000 -2.853 0.000 5.326" Properties=species:S:1:pos:R:3 pbc="T T T"
Li 0.031 0.903 2.420
Li -1.395 2.159 5.084
Li 4.535 3.966 0.243
Li 3.109 5.222 2.906
Lu 0.098 3.850 2.738
Lu 1.525 5.338 0.075
Lu 1.615 0.787 5.251
Lu 3.042 2.275 2.588
O -1.846 3.752 3.912
O -0.420 5.437 1.249
O 2.076 4.025 1.713
O 0.649 5.163 4.376
O 2.491 0.963 0.950
O 1.064 2.100 3.613
O 3.560 0.689 4.078
O 4.986 2.374 1.415
```

Main lines, in order of falling intensity (2θ from 10° to 90°):
d = 4.000 Å, 2θ = 22.2°, rel. 100; d = 4.019 Å, 2θ = 22.1°, rel. 98; d = 2.636 Å, 2θ = 34.0°, rel. 73; d = 2.176 Å, 2θ = 41.5°, rel. 54; d = 2.581 Å, 2θ = 34.8°, rel. 43; d = 1.906 Å, 2θ = 47.7°, rel. 27



# 3
Diffraction record for LiLuO2. The X-ray diffraction stick pattern is calculated, not measured: it uses a GGA-PBE-relaxed structure and Cu Kα X-rays.
No peak broadening, texture or thermal motion is included.

Crystal structure
```
4
Lattice="1.637 0.945 5.033 -1.637 0.945 5.033 0.000 -1.890 5.033" Properties=species:S:1:pos:R:3 pbc="T T T"
Li 0.000 0.000 0.000
Lu 0.000 0.000 7.549
O 0.000 0.000 3.682
O 0.000 0.000 11.415
```

Main lines, in order of falling intensity (2θ from 10° to 90°):
d = 5.033 Å, 2θ = 17.6°, rel. 100; d = 2.787 Å, 2θ = 32.1°, rel. 65; d = 2.267 Å, 2θ = 39.8°, rel. 58; d = 2.654 Å, 2θ = 33.8°, rel. 43; d = 2.067 Å, 2θ = 43.8°, rel. 27; d = 1.557 Å, 2θ = 59.4°, rel. 24



# 4
Diffraction record for LiLuO2. The X-ray diffraction stick pattern is calculated, not measured: it uses a GGA-PBE-relaxed structure and Cu Kα X-rays.
No peak broadening, texture or thermal motion is included.

Crystal structure
```
8
Lattice="-2.177 2.177 5.049 2.177 -2.177 5.049 2.177 2.177 -5.049" Properties=species:S:1:pos:R:3 pbc="T T T"
Li 2.177 1.089 1.262
Li 0.000 1.089 3.787
Lu 2.177 -1.089 3.787
Lu 0.000 3.266 1.262
O 2.177 1.089 -1.538
O 0.000 1.089 0.986
O 2.177 1.089 4.063
O 0.000 1.089 6.587
```

Main lines, in order of falling intensity (2θ from 10° to 90°):
d = 3.998 Å, 2θ = 22.2°, rel. 100; d = 2.629 Å, 2θ = 34.1°, rel. 48; d = 2.177 Å, 2θ = 41.5°, rel. 29; d = 1.912 Å, 2θ = 47.6°, rel. 27; d = 2.663 Å, 2θ = 33.7°, rel. 27; d = 1.649 Å, 2θ = 55.8°, rel. 22



# 5
Diffraction record for LiLuS2O8. The X-ray diffraction stick pattern is calculated, not measured: it uses a GGA-PBE-relaxed structure and Cu Kα X-rays.
No peak broadening, texture or thermal motion is included.

Crystal structure
```
24
Lattice="7.413 0.000 0.000 0.000 7.413 0.000 0.000 0.000 5.906" Properties=species:S:1:pos:R:3 pbc="T T T"
Li 0.000 3.706 1.476
Li 3.706 0.000 4.429
Lu 0.000 3.706 4.429
Lu 3.706 0.000 1.476
S 1.671 2.035 1.476
S 2.035 5.742 4.429
S 5.377 1.671 4.429
S 5.742 5.377 1.476
O 0.648 5.868 3.933
O 0.684 2.360 0.379
O 1.346 3.023 2.574
O 1.545 0.648 1.973
O 2.162 4.355 4.926
O 2.360 6.729 5.527
O 3.023 6.067 3.332
O 3.058 2.162 0.980
O 4.355 5.251 0.980
O 4.390 1.346 3.332
O 5.053 0.684 5.527
O 5.251 3.058 4.926
O 5.868 6.764 1.973
O 6.067 4.390 2.574
O 6.729 5.053 0.379
O 6.764 1.545 3.933
```

Main lines, in order of falling intensity (2θ from 10° to 90°):
d = 4.619 Å, 2θ = 19.2°, rel. 100; d = 5.242 Å, 2θ = 16.9°, rel. 98; d = 2.891 Å, 2θ = 30.9°, rel. 63; d = 3.920 Å, 2θ = 22.7°, rel. 37; d = 2.279 Å, 2θ = 39.5°, rel. 35; d = 1.836 Å, 2θ = 49.7°, rel. 27



# 6
Diffraction record for LiLu2Pd. The X-ray diffraction stick pattern is calculated, not measured: it uses a GGA-PBE-relaxed structure and Cu Kα X-rays.
No peak broadening, texture or thermal motion is included.

Crystal structure
```
4
Lattice="0.000 3.480 3.480 3.480 0.000 3.480 3.480 3.480 0.000" Properties=species:S:1:pos:R:3 pbc="T T T"
Li 0.000 0.000 0.000
Lu 1.740 1.740 1.740
Lu 5.220 5.220 5.220
Pd 3.480 3.480 3.480
```

Main lines, in order of falling intensity (2θ from 10° to 90°):
d = 2.461 Å, 2θ = 36.5°, rel. 100; d = 1.421 Å, 2θ = 65.7°, rel. 36; d = 3.480 Å, 2θ = 25.6°, rel. 32; d = 1.740 Å, 2θ = 52.6°, rel. 18; d = 1.101 Å, 2θ = 88.9°, rel. 17; d = 1.556 Å, 2θ = 59.4°, rel. 13



# 7
Diffraction record for LiLuPt2. The X-ray diffraction stick pattern is calculated, not measured: it uses a GGA-PBE-relaxed structure and Cu Kα X-rays.
No peak broadening, texture or thermal motion is included.

Crystal structure
```
4
Lattice="0.000 3.259 3.259 3.259 0.000 3.259 3.259 3.259 0.000" Properties=species:S:1:pos:R:3 pbc="T T T"
Li 0.000 0.000 0.000
Lu 3.259 3.259 3.259
Pt 1.630 1.630 1.630
Pt 4.889 4.889 4.889
```

Main lines, in order of falling intensity (2θ from 10° to 90°):
d = 2.304 Å, 2θ = 39.1°, rel. 100; d = 1.330 Å, 2θ = 70.8°, rel. 36; d = 3.763 Å, 2θ = 23.6°, rel. 22; d = 1.630 Å, 2θ = 56.5°, rel. 17; d = 3.259 Å, 2θ = 27.4°, rel. 17; d = 1.152 Å, 2θ = 84.0°, rel. 11